Entry 1:
Starting from a structure optimized by DFT (PBE), the powder diffraction line list of Zr6Sn3H was simulated for copper Kα.
Peak positions follow from Bragg's law for the DFT cell and can differ from measured ones.

The 12 most intense peaks (10° ≤ 2θ ≤ 90°), in order of falling intensity:
2θ/deg, I_rel
39.46, 100.0
33.34, 69.4
33.88, 63.0
36.26, 51.3
34.80, 49.7
40.48, 48.0
35.02, 41.9
37.09, 39.2
30.98, 39.0
42.24, 34.2
63.50, 25.3
37.88, 21.0

Cell and atoms:
```
Zr6Sn3H
1.0
5.2263 -2.8493 0.0000
5.2263 2.8493 0.0000
-1.4303 0.0000 7.1254
Zr Sn H
6 3 1
direct
0.1426 0.6486 0.6380
0.1458 0.1458 0.8970
0.3514 0.8574 0.3620
0.6486 0.1426 0.6380
0.8542 0.8542 0.1030
0.8574 0.3514 0.3620
0.3311 0.3311 0.2690
0.5000 0.5000 0.0000
0.6689 0.6689 0.7310
0.0000 0.0000 0.5000
```

Entry 2:
Starting from a structure optimized by DFT (PBE), the powder diffraction line list of Zr4SnH2 was simulated for copper Kα.
Peak positions follow from Bragg's law for the DFT cell and can differ from measured ones.

The 12 most intense peaks (10° ≤ 2θ ≤ 90°), in order of falling intensity:
2θ/deg, I_rel
33.35, 100.0
34.05, 94.5
30.79, 62.1
42.59, 53.4
39.09, 53.2
39.41, 47.9
32.13, 34.8
31.94, 32.6
20.10, 30.0
42.43, 27.8
70.03, 18.7
47.52, 15.1

Cell and atoms:
```
Zr4SnH2
1.0
0.0000 6.2774 3.2801
6.2165 0.0000 3.2801
6.2165 6.2774 0.0000
Zr Sn H
8 2 4
direct
0.1643 0.3034 0.9576
0.2924 0.6753 0.0857
0.3034 0.1643 0.5747
0.3102 0.6898 0.4336
0.6753 0.2924 0.9466
0.6836 0.8164 0.5602
0.6898 0.3102 0.5664
0.8164 0.6836 0.9398
0.1177 0.1177 0.3823
0.8677 0.8677 0.1323
0.4383 0.5426 0.2594
0.4902 0.9906 0.7074
0.5426 0.4383 0.7598
0.9906 0.4902 0.8117
```